No. 1
Starting from a cell relaxed with GGA-PBE, the powder diffraction line list of TmRe4Mo was computed for Cu Kα.
Lines closer than 0.1° are merged.

Peak list (8 most intense, 2θ = 5–70°, in order of rising 2θ)
20.68 deg, d 4.295, I = 20; 34.09 deg, d 2.630, I = 18; 40.21 deg, d 2.243, I = 100; 42.08 deg, d 2.147, I = 52; 48.98 deg, d 1.860, I = 10; 53.71 deg, d 1.707, I = 5; 61.02 deg, d 1.518, I = 7; 65.16 deg, d 1.432, I = 32

```
TmRe4Mo
1.0
0.000 3.719 3.719
3.719 0.000 3.719
3.719 3.719 0.000
Tm Re Mo
1 4 1
direct
0.000 0.000 0.000
0.374 0.374 0.374
0.374 0.374 0.877
0.374 0.877 0.374
0.877 0.374 0.374
0.750 0.750 0.750
```

No. 2
Starting from a cell relaxed with GGA-PBE, the powder diffraction line list of Bi3O5 was computed for Cu Kα.
Lines closer than 0.1° are merged.

Peak list (8 most intense, 2θ = 5–70°, in order of rising 2θ)
26.61 deg, d 3.349, I = 97; 26.88 deg, d 3.317, I = 100; 27.00 deg, d 3.302, I = 85; 28.46 deg, d 3.136, I = 79; 31.01 deg, d 2.884, I = 55; 31.20 deg, d 2.866, I = 43; 32.47 deg, d 2.758, I = 42; 44.37 deg, d 2.042, I = 58

```
Bi3O5
1.0
5.778 0.000 0.000
2.584 6.238 0.000
0.067 2.972 7.614
Bi O
6 10
direct
0.000 0.000 0.000
0.000 0.000 0.500
0.298 0.400 0.163
0.323 0.359 0.645
0.677 0.641 0.355
0.702 0.600 0.837
0.071 0.301 0.977
0.094 0.340 0.387
0.150 0.008 0.763
0.367 0.720 0.137
0.396 0.686 0.553
0.604 0.314 0.447
0.633 0.280 0.863
0.850 0.992 0.237
0.906 0.660 0.613
0.929 0.699 0.023
```

No. 3
Starting from a cell relaxed with GGA-PBE, the powder diffraction line list of TiP2O7 was computed for Cu Kα.
Lines closer than 0.1° are merged.

Peak list (8 most intense, 2θ = 5–70°, in order of rising 2θ)
13.57 deg, d 6.525, I = 27; 15.56 deg, d 5.696, I = 100; 27.87 deg, d 3.201, I = 47; 28.62 deg, d 3.119, I = 32; 29.83 deg, d 2.995, I = 21; 30.01 deg, d 2.977, I = 46; 31.83 deg, d 2.811, I = 29; 38.73 deg, d 2.325, I = 22

```
TiP2O7
1.0
6.403 0.000 0.000
-0.084 6.541 0.000
-3.195 -0.436 6.238
Ti P O
2 4 14
direct
0.099 0.338 0.203
0.901 0.662 0.797
0.223 0.855 0.280
0.319 0.633 0.653
0.681 0.367 0.347
0.777 0.145 0.720
0.056 0.671 0.120
0.085 0.057 0.220
0.212 0.640 0.807
0.212 0.818 0.502
0.233 0.441 0.495
0.413 0.345 0.225
0.459 0.861 0.294
0.541 0.139 0.706
0.587 0.655 0.775
0.767 0.559 0.505
0.788 0.182 0.498
0.788 0.360 0.193
0.915 0.943 0.780
0.944 0.329 0.880
```

No. 4
Starting from a cell relaxed with GGA-PBE, the powder diffraction line list of RbCu2Sb2Te6 was computed for Cu Kα.
Lines closer than 0.1° are merged.

Peak list (8 most intense, 2θ = 5–70°, in order of rising 2θ)
10.70 deg, d 8.271, I = 34; 13.23 deg, d 6.691, I = 64; 23.84 deg, d 3.733, I = 100; 28.93 deg, d 3.087, I = 41; 29.57 deg, d 3.020, I = 55; 34.32 deg, d 2.613, I = 35; 36.58 deg, d 2.456, I = 34; 46.68 deg, d 1.946, I = 34

```
RbCu2Sb2Te6
1.0
7.316 0.000 0.000
-0.001 7.486 0.000
-3.645 -0.595 8.271
Rb Cu Sb Te
1 2 2 6
direct
0.000 0.000 0.000
0.356 0.466 0.712
0.644 0.534 0.288
0.296 0.948 0.593
0.704 0.052 0.407
0.071 0.246 0.666
0.406 0.754 0.334
0.435 0.761 0.871
0.565 0.239 0.129
0.594 0.246 0.666
0.929 0.754 0.334
```

No. 5
Starting from a cell relaxed with GGA-PBE, the powder diffraction line list of K2HgSCl2O4 was computed for Cu Kα.
Lines closer than 0.1° are merged.

Peak list (8 most intense, 2θ = 5–70°, in order of rising 2θ)
8.37 deg, d 10.567, I = 100; 17.49 deg, d 5.070, I = 39; 22.42 deg, d 3.966, I = 19; 24.48 deg, d 3.637, I = 50; 26.30 deg, d 3.389, I = 22; 28.95 deg, d 3.084, I = 21; 29.19 deg, d 3.059, I = 38; 30.40 deg, d 2.940, I = 41

```
K2HgSCl2O4
1.0
6.117 0.000 0.000
-3.047 6.870 0.000
-0.046 -1.688 10.567
K Hg S Cl O
4 2 2 4 8
direct
0.002 0.000 0.214
0.310 0.618 0.388
0.690 0.382 0.612
0.998 0.000 0.786
0.340 0.680 0.942
0.660 0.320 0.058
0.295 0.598 0.709
0.705 0.402 0.291
0.160 0.319 0.038
0.436 0.869 0.160
0.564 0.131 0.840
0.840 0.681 0.962
0.102 0.003 0.499
0.138 0.683 0.659
0.184 0.378 0.677
0.463 0.320 0.342
0.537 0.680 0.658
0.816 0.622 0.323
0.862 0.317 0.341
0.898 0.997 0.501
```

No. 6
Starting from a cell relaxed with GGA-PBE, the powder diffraction line list of Zn2Cl2O was computed for Cu Kα.
Lines closer than 0.1° are merged.

Peak list (8 most intense, 2θ = 5–70°, in order of rising 2θ)
16.56 deg, d 5.354, I = 100; 28.38 deg, d 3.145, I = 25; 33.03 deg, d 2.712, I = 46; 33.48 deg, d 2.677, I = 80; 41.67 deg, d 2.167, I = 63; 54.77 deg, d 1.676, I = 28; 58.72 deg, d 1.572, I = 18; 59.56 deg, d 1.552, I = 20

```
Zn2Cl2O
1.0
-3.145 3.145 5.100
3.145 -3.145 5.100
3.145 3.145 -5.100
Zn Cl O
4 4 2
direct
0.000 0.000 0.000
0.000 0.000 0.500
0.000 0.500 0.000
0.500 0.000 0.500
0.175 0.425 0.750
0.425 0.175 0.250
0.575 0.825 0.750
0.825 0.575 0.250
0.125 0.875 0.250
0.875 0.125 0.750
```

No. 7
Starting from a cell relaxed with GGA-PBE, the powder diffraction line list of LaSbP2O8 was computed for Cu Kα.
Lines closer than 0.1° are merged.

Peak list (8 most intense, 2θ = 5–70°, in order of rising 2θ)
19.45 deg, d 4.563, I = 100; 22.89 deg, d 3.886, I = 22; 31.09 deg, d 2.877, I = 84; 34.03 deg, d 2.634, I = 52; 42.08 deg, d 2.147, I = 40; 46.76 deg, d 1.943, I = 41; 53.36 deg, d 1.717, I = 16; 59.08 deg, d 1.564, I = 26

```
LaSbP2O8
1.0
5.269 0.000 0.000
-2.634 4.563 0.000
0.000 0.000 7.413
La Sb P O
1 1 2 8
direct
0.000 0.000 0.000
0.000 0.000 0.500
0.333 0.667 0.791
0.667 0.333 0.209
0.164 0.344 0.723
0.181 0.836 0.723
0.333 0.667 0.998
0.344 0.181 0.277
0.656 0.819 0.723
0.667 0.333 0.002
0.819 0.164 0.277
0.836 0.656 0.277
```

No. 8
Starting from a cell relaxed with GGA-PBE, the powder diffraction line list of Er7IrS5 was computed for Cu Kα.
Lines closer than 0.1° are merged.

Peak list (8 most intense, 2θ = 5–70°, in order of rising 2θ)
28.83 deg, d 3.096, I = 39; 30.29 deg, d 2.951, I = 100; 32.43 deg, d 2.760, I = 100; 33.59 deg, d 2.668, I = 56; 42.81 deg, d 2.112, I = 35; 46.97 deg, d 1.935, I = 36; 47.66 deg, d 1.908, I = 32; 57.52 deg, d 1.602, I = 44

```
Er7IrS5
1.0
3.816 0.000 0.000
0.000 23.293 0.000
-1.902 0.000 6.385
Er Ir S
14 2 10
direct
0.039 0.000 0.075
0.132 0.716 0.264
0.145 0.288 0.293
0.298 0.931 0.593
0.311 0.072 0.620
0.397 0.633 0.796
0.416 0.361 0.834
0.584 0.861 0.166
0.603 0.133 0.204
0.689 0.572 0.380
0.702 0.431 0.407
0.855 0.788 0.707
0.868 0.216 0.736
0.961 0.500 0.925
0.306 0.508 0.613
0.694 0.008 0.387
0.045 0.611 0.091
0.056 0.392 0.116
0.218 0.823 0.435
0.231 0.181 0.462
0.491 0.750 0.982
0.509 0.250 0.018
0.769 0.681 0.538
0.782 0.323 0.565
0.944 0.892 0.884
0.955 0.111 0.909
```

No. 9
Starting from a cell relaxed with GGA-PBE, the powder diffraction line list of BaNaH2 was computed for Cu Kα.
Lines closer than 0.1° are merged.

Peak list (8 most intense, 2θ = 5–70°, in order of rising 2θ)
22.85 deg, d 3.892, I = 93; 26.44 deg, d 3.370, I = 100; 37.75 deg, d 2.383, I = 84; 44.58 deg, d 2.032, I = 47; 46.68 deg, d 1.946, I = 28; 59.80 deg, d 1.546, I = 20; 61.52 deg, d 1.507, I = 37; 68.15 deg, d 1.376, I = 28

```
BaNaH2
1.0
0.000 3.370 3.370
3.370 0.000 3.370
3.370 3.370 0.000
Ba Na H
1 1 2
direct
0.000 0.000 0.000
0.500 0.500 0.500
0.250 0.250 0.250
0.750 0.750 0.750
```

No. 10
Starting from a cell relaxed with GGA-PBE, the powder diffraction line list of Tm3Al2 was computed for Cu Kα.
Lines closer than 0.1° are merged.

Peak list (8 most intense, 2θ = 5–70°, in order of rising 2θ)
24.54 deg, d 3.628, I = 51; 28.42 deg, d 3.141, I = 51; 31.19 deg, d 2.868, I = 38; 32.50 deg, d 2.755, I = 100; 34.38 deg, d 2.609, I = 81; 34.98 deg, d 2.565, I = 66; 37.03 deg, d 2.427, I = 25; 53.81 deg, d 1.704, I = 31

```
Tm3Al2
1.0
8.112 0.000 0.000
0.000 8.112 0.000
0.000 0.000 7.507
Tm Al
12 8
direct
0.000 0.500 0.250
0.000 0.500 0.750
0.150 0.150 0.000
0.202 0.202 0.500
0.298 0.702 0.000
0.350 0.650 0.500
0.500 0.000 0.250
0.500 0.000 0.750
0.650 0.350 0.500
0.702 0.298 0.000
0.798 0.798 0.500
0.850 0.850 0.000
0.119 0.881 0.304
0.119 0.881 0.696
0.381 0.381 0.196
0.381 0.381 0.804
0.619 0.619 0.196
0.619 0.619 0.804
0.881 0.119 0.304
0.881 0.119 0.696
```

No. 11
Starting from a cell relaxed with GGA-PBE, the powder diffraction line list of SbPS3 was computed for Cu Kα.
Lines closer than 0.1° are merged.

Peak list (8 most intense, 2θ = 5–70°, in order of rising 2θ)
15.27 deg, d 5.804, I = 100; 23.28 deg, d 3.822, I = 38; 23.88 deg, d 3.726, I = 40; 25.93 deg, d 3.436, I = 40; 31.15 deg, d 2.872, I = 55; 36.34 deg, d 2.472, I = 24; 39.18 deg, d 2.299, I = 26; 47.59 deg, d 1.911, I = 28

```
SbPS3
1.0
-3.304 6.871 3.201
3.304 -6.871 3.201
3.304 6.871 -3.201
Sb P S
2 2 6
direct
0.126 0.250 0.376
0.874 0.750 0.624
0.252 0.833 0.919
0.913 0.333 0.081
0.152 0.290 0.862
0.152 0.789 0.361
0.428 0.289 0.138
0.428 0.790 0.639
0.816 0.119 0.197
0.922 0.619 0.803
```

No. 12
Starting from a cell relaxed with GGA-PBE, the powder diffraction line list of AcLa8Ir4 was computed for Cu Kα.
Lines closer than 0.1° are merged.

Peak list (8 most intense, 2θ = 5–70°, in order of rising 2θ)
27.31 deg, d 3.265, I = 100; 28.15 deg, d 3.170, I = 45; 28.62 deg, d 3.119, I = 84; 29.75 deg, d 3.003, I = 40; 34.14 deg, d 2.626, I = 66; 38.81 deg, d 2.320, I = 58; 42.52 deg, d 2.126, I = 51; 44.54 deg, d 2.034, I = 90

```
AcLa8Ir4
1.0
10.157 -2.126 0.000
10.157 2.126 0.000
-9.065 0.000 10.368
Ac La Ir
1 8 4
direct
0.000 0.000 0.000
0.045 0.045 0.743
0.296 0.296 0.930
0.334 0.334 0.658
0.367 0.367 0.411
0.633 0.633 0.589
0.666 0.666 0.342
0.704 0.704 0.070
0.955 0.955 0.257
0.144 0.144 0.460
0.333 0.333 0.174
0.667 0.667 0.826
0.856 0.856 0.540
```